Structure and theoretical X-ray powder pattern of AcCeTm (DFT lattice parameters and positions (PBE); Cu Kα (weighted mean of Kα1 and Kα2)).
Peak positions follow from Bragg's law for the DFT cell and can differ from measured ones.

Structure:
a = 3.6969 Å, b = 3.6969 Å, c = 15.1494 Å
α = 90.00°, β = 90.00°, γ = 90.00°
Atoms (fractional coordinates):
Ac1 0.0000 0.0000 0.0000
Ac2 0.5000 0.5000 0.5000
Ce1 0.0000 0.0000 0.3300
Ce2 0.5000 0.5000 0.8300
Tm1 0.0000 0.0000 0.6788
Tm2 0.5000 0.5000 0.1788

Principal peaks in the range 2θ from 10° to 90°, in order of rising 2θ:
2theta	I_rel	h k l
30.0	100	1 0 3
34.3	36	1 1 0
35.6	15	0 0 6
49.3	13	2 0 0
50.2	23	1 1 6
58.8	30	2 1 3
60.4	12	1 0 9
62.2	12	2 0 6
80.2	6	3 0 3
81.6	11	2 1 9
82.5	6	3 1 0
83.2	6	2 2 6